Diffraction record for SiAsPRh2C. The powder XRD pattern is theoretical, not measured: it uses a GGA-PBE-relaxed structure and copper Kα.
Kinematic intensities with the Lorentz-polarization factor, no thermal factor.

Atomic structure:
```
data_SiAsPRh2C
_symmetry_space_group_name_H-M 'P 1'
_symmetry_Int_Tables_number 1
_symmetry_space_group_name_Hall 'P 1'
_cell_length_a 5.2664
_cell_length_b 2.9260
_cell_length_c 6.0151
_cell_angle_alpha 90.00
_cell_angle_beta 115.33
_cell_angle_gamma 90.00
loop_
_atom_site_label
_atom_site_type_symbol
_atom_site_fract_x
_atom_site_fract_y
_atom_site_fract_z
Si1 Si 0.0000 0.0000 0.0000
As1 As 0.6604 0.0000 0.3014
P1 P 0.3096 0.5000 0.5218
Rh1 Rh 0.6050 0.5000 0.9291
Rh2 Rh 0.9812 0.5000 0.6810
C1 C 0.2911 0.0000 0.3281
```

Principal peaks in the range 2θ = 5–70°, by angle:
2θ = 18.64°, intensity 46, (1 0 0)
2θ = 18.80°, intensity 32, (1 0 -1)
2θ = 29.77°, intensity 43, (1 0 1)
2θ = 34.05°, intensity 69, (2 0 -1)
2θ = 34.82°, intensity 100, (0 1 1)
2θ = 43.18°, intensity 73, (1 1 1)
2θ = 43.41°, intensity 61, (1 1 -2)
2θ = 45.29°, intensity 37, (1 0 -3)
2θ = 46.39°, intensity 48, (2 1 -1)
2θ = 49.63°, intensity 31, (2 1 -2)